Record 1
Theoretical powder X-ray diffraction pattern
Compound: CdAs2
Radiation: λ = 1.5418 Å (Cu Kα)
Structure: a cell relaxed with GGA-PBE
No peak broadening, texture or thermal motion is included.

Peak list (10 most intense, 15° ≤ 2θ ≤ 90°, sorted by position)
Position (°2θ)	d (Å)	I_rel
29.1	3.071	100
30.5	2.930	59
32.2	2.776	36
36.5	2.463	68
39.0	2.308	21
39.3	2.293	29
43.6	2.076	36
46.0	1.972	32
47.1	1.931	23
54.2	1.694	23

Structural model:
```
data_CdAs2
_cell_length_a 6.289
_cell_length_b 6.289
_cell_length_c 6.138
_cell_angle_alpha 108.21
_cell_angle_beta 108.21
_cell_angle_gamma 38.54
_space_group_name_H-M_alt 'P 1'
_space_group_IT_number 1
loop_
_space_group_symop_operation_xyz
'x,y,z'
loop_
_atom_site_label
_atom_site_fract_x
_atom_site_fract_y
_atom_site_fract_z
Cd1 0.137 0.137 0.476
Cd2 0.863 0.863 0.524
As1 0.288 0.288 0.157
As2 0.497 0.497 0.797
As3 0.503 0.503 0.203
As4 0.712 0.712 0.843
```


Record 2
Theoretical powder X-ray diffraction pattern
Compound: CeCd3As3
Radiation: λ = 1.5418 Å (Cu Kα)
Structure: a cell relaxed with GGA-PBE
No peak broadening, texture or thermal motion is included.

Peak list (10 most intense, 15° ≤ 2θ ≤ 90°, sorted by position)
Position (°2θ)	d (Å)	I_rel
23.0	3.866	21
24.5	3.636	58
28.5	3.132	45
31.2	2.867	64
33.5	2.672	24
34.2	2.620	65
40.4	2.232	100
44.8	2.024	18
52.7	1.736	17
53.5	1.713	31

Structural model:
```
data_CeCd3As3
_cell_length_a 21.379
_cell_length_b 4.467
_cell_length_c 4.467
_cell_angle_alpha 120.12
_cell_angle_beta 90.00
_cell_angle_gamma 90.00
_space_group_name_H-M_alt 'P 1'
_space_group_IT_number 1
loop_
_space_group_symop_operation_xyz
'x,y,z'
loop_
_atom_site_label
_atom_site_fract_x
_atom_site_fract_y
_atom_site_fract_z
Ce1 0.000 0.000 0.000
Ce2 0.500 0.000 0.000
Cd1 0.125 0.671 0.337
Cd2 0.250 0.230 0.609
Cd3 0.375 0.671 0.337
Cd4 0.625 0.337 0.671
Cd5 0.750 0.609 0.230
Cd6 0.875 0.337 0.671
As1 0.076 0.334 0.668
As2 0.250 0.557 0.273
As3 0.424 0.334 0.668
As4 0.576 0.668 0.334
As5 0.750 0.273 0.557
As6 0.924 0.668 0.334
```


Record 3
Theoretical powder X-ray diffraction pattern
Compound: CeCdAs2Pt2
Radiation: λ = 1.5418 Å (Cu Kα)
Structure: a cell relaxed with GGA-PBE
No peak broadening, texture or thermal motion is included.

Peak list (10 most intense, 15° ≤ 2θ ≤ 90°, sorted by position)
Position (°2θ)	d (Å)	I_rel
26.8	3.332	25
33.8	2.652	100
42.2	2.142	60
48.0	1.897	8
54.3	1.689	11
55.1	1.666	25
65.8	1.420	19
71.8	1.315	22
77.1	1.236	10
80.2	1.197	9

Structural model:
```
data_CeCdAs2Pt2
_cell_length_a 4.283
_cell_length_b 4.283
_cell_length_c 7.587
_cell_angle_alpha 90.00
_cell_angle_beta 90.00
_cell_angle_gamma 120.00
_space_group_name_H-M_alt 'P 1'
_space_group_IT_number 1
loop_
_space_group_symop_operation_xyz
'x,y,z'
loop_
_atom_site_label
_atom_site_fract_x
_atom_site_fract_y
_atom_site_fract_z
Ce1 0.000 0.000 0.000
Cd1 0.000 0.000 0.500
As1 0.333 0.667 0.774
As2 0.667 0.333 0.226
Pt1 0.333 0.667 0.287
Pt2 0.667 0.333 0.713
```


Record 4
Theoretical powder X-ray diffraction pattern
Compound: CdAsCl4
Radiation: λ = 1.5418 Å (Cu Kα)
Structure: a cell relaxed with GGA-PBE
No peak broadening, texture or thermal motion is included.

Peak list (10 most intense, 15° ≤ 2θ ≤ 90°, sorted by position)
Position (°2θ)	d (Å)	I_rel
17.0	5.213	100
25.6	3.485	29
26.0	3.430	96
36.1	2.490	25
41.0	2.199	22
41.9	2.154	46
45.2	2.004	18
47.0	1.935	17
49.8	1.832	12
52.9	1.731	23

Structural model:
```
data_CdAsCl4
_cell_length_a 7.746
_cell_length_b 7.746
_cell_length_c 7.746
_cell_angle_alpha 137.07
_cell_angle_beta 137.07
_cell_angle_gamma 62.33
_space_group_name_H-M_alt 'P 1'
_space_group_IT_number 1
loop_
_space_group_symop_operation_xyz
'x,y,z'
loop_
_atom_site_label
_atom_site_fract_x
_atom_site_fract_y
_atom_site_fract_z
Cd1 0.000 0.000 0.000
As1 0.750 0.250 0.500
Cl1 0.111 0.611 0.953
Cl2 0.389 0.342 0.500
Cl3 0.658 0.158 0.047
Cl4 0.842 0.889 0.500
```


Record 5
Theoretical powder X-ray diffraction pattern
Compound: CdAs2Cl8
Radiation: λ = 1.5418 Å (Cu Kα)
Structure: a cell relaxed with GGA-PBE
No peak broadening, texture or thermal motion is included.

Peak list (10 most intense, 15° ≤ 2θ ≤ 90°, sorted by position)
Position (°2θ)	d (Å)	I_rel
19.6	4.528	100
20.3	4.381	77
23.0	3.864	52
25.7	3.469	59
28.1	3.180	72
29.4	3.033	72
31.1	2.875	50
37.0	2.428	35
39.2	2.300	36
51.1	1.787	41

Structural model:
```
data_CdAs2Cl8
_cell_length_a 3.924
_cell_length_b 9.340
_cell_length_c 9.967
_cell_angle_alpha 83.47
_cell_angle_beta 80.00
_cell_angle_gamma 88.22
_space_group_name_H-M_alt 'P 1'
_space_group_IT_number 1
loop_
_space_group_symop_operation_xyz
'x,y,z'
loop_
_atom_site_label
_atom_site_fract_x
_atom_site_fract_y
_atom_site_fract_z
Cd1 0.000 0.000 0.000
As1 0.074 0.273 0.336
As2 0.926 0.727 0.664
Cl1 0.162 0.567 0.800
Cl2 0.173 0.930 0.703
Cl3 0.270 0.698 0.468
Cl4 0.495 0.181 0.945
Cl5 0.505 0.819 0.055
Cl6 0.730 0.302 0.532
Cl7 0.827 0.070 0.297
Cl8 0.838 0.433 0.200
```


Record 6
Theoretical powder X-ray diffraction pattern
Compound: Cd4AsI2Cl
Radiation: λ = 1.5418 Å (Cu Kα)
Structure: a cell relaxed with GGA-PBE
No peak broadening, texture or thermal motion is included.

Peak list (10 most intense, 15° ≤ 2θ ≤ 90°, sorted by position)
Position (°2θ)	d (Å)	I_rel
19.7	4.499	46
23.0	3.869	100
24.4	3.653	65
27.0	3.303	28
32.2	2.784	31
35.1	2.555	32
37.5	2.399	33
38.0	2.368	61
42.9	2.107	30
48.1	1.891	27

Structural model:
```
data_Cd4AsI2Cl
_cell_length_a 7.993
_cell_length_b 8.998
_cell_length_c 7.737
_cell_angle_alpha 90.00
_cell_angle_beta 90.00
_cell_angle_gamma 90.00
_space_group_name_H-M_alt 'P 1'
_space_group_IT_number 1
loop_
_space_group_symop_operation_xyz
'x,y,z'
loop_
_atom_site_label
_atom_site_fract_x
_atom_site_fract_y
_atom_site_fract_z
Cd1 0.000 0.068 0.000
Cd2 0.000 0.821 0.601
Cd3 0.177 0.315 0.491
Cd4 0.323 0.685 0.991
Cd5 0.500 0.179 0.101
Cd6 0.500 0.932 0.500
Cd7 0.677 0.685 0.991
Cd8 0.823 0.315 0.491
As1 0.000 0.785 0.932
As2 0.500 0.215 0.432
I1 0.229 0.323 0.922
I2 0.271 0.677 0.422
I3 0.729 0.677 0.422
I4 0.771 0.323 0.922
Cl1 0.000 0.030 0.359
Cl2 0.500 0.970 0.859
```